Calculated powder diffraction line list
Compound: CaH6C2O7
Radiation: copper Kα
Structure: a GGA-PBE-relaxed structure
Lines closer than 0.1° are merged.

Atomic structure:
```
data_CaH6C2O7
_chemical_formula_sum 'Ca2 H12 C4 O14'
_cell_length_a 6.2302
_cell_length_b 7.2185
_cell_length_c 8.4811
_cell_angle_alpha 75.05
_cell_angle_beta 69.90
_cell_angle_gamma 69.23
_space_group_name_H-M_alt 'P -1'
_space_group_IT_number 2
_space_group_name_Hall '-P 1'
loop_
_atom_site_label
_atom_site_fract_x
_atom_site_fract_y
_atom_site_fract_z
_atom_site_occupancy
Ca1 0.0998 0.2718 0.1941 1
H1 0.1460 0.2176 0.8390 1
H2 0.2028 0.0043 0.5818 1
H3 0.2397 0.9874 0.9250 1
H4 0.3076 0.8550 0.3728 1
H5 0.3575 0.8120 0.6804 1
H6 0.4776 0.8772 0.1863 1
C1 0.0564 0.3993 0.5520 1
C2 0.4203 0.5729 0.9428 1
O1 0.0613 0.4091 0.6978 1
O2 0.1336 0.2440 0.4827 1
O3 0.2117 0.1269 0.9346 1
O4 0.2345 0.5341 0.9497 1
O5 0.2360 0.8555 0.6168 1
O6 0.3076 0.9082 0.2536 1
O7 0.4908 0.7217 0.8505 1
```

The 10 most intense peaks (2θ = 5–70°), in order of rising 2θ:
d = 7.868 Å, rel. 30.0
d = 5.594 Å, rel. 63.6
d = 5.527 Å, rel. 89.3
d = 5.313 Å, rel. 35.5
d = 5.081 Å, rel. 46.8
d = 3.645 Å, rel. 24.1
d = 2.900 Å, rel. 100.0
d = 2.792 Å, rel. 36.6
d = 2.763 Å, rel. 56.7
d = 2.154 Å, rel. 25.6